The following is a simulated PXRD pattern of Mn3Co2NiP6O24. It was derived from a crystal structure in Alexandria, relaxed with PBE+U, using Cu Kα (λ = 1.5418 Å).
Lines closer than 0.1° are merged.

Atomic structure:
```
data_Mn3Co2NiP6O24
_chemical_formula_sum 'Mn9 Co6 Ni3 P18 O72'
_space_group_name_H-M_alt 'R 3'
_space_group_IT_number 146
_space_group_name_Hall 'R 3'
_cell_length_a 8.5783
_cell_length_b 8.5783
_cell_length_c 20.3728
_cell_angle_alpha 90.00
_cell_angle_beta 90.00
_cell_angle_gamma 120.00
loop_
_atom_site_label
_atom_site_fract_x
_atom_site_fract_y
_atom_site_fract_z
Mn1 0.0000 0.0000 0.0000
Mn2 0.0000 0.0000 0.2161
Mn3 0.0000 0.0000 0.7155
Co1 0.0000 0.0000 0.3603
Co2 0.0000 0.0000 0.8577
Ni1 0.0000 0.0000 0.5000
P1 0.0003 0.7083 0.1071
P2 0.0387 0.3710 0.2753
O1 0.0073 0.1745 0.2858
O2 0.0085 0.8066 0.1705
O3 0.0194 0.8372 0.7844
O4 0.1301 0.4609 0.2128
O5 0.1354 0.4655 0.3387
O6 0.1528 0.6853 0.7123
O7 0.1648 0.6836 0.0946
O8 0.1705 0.4913 0.6015
```

Top 10 peaks for 10° ≤ 2θ ≤ 80°, sorted by position:
(hkl)	Position (°2θ)	Rel. int.
1 1 0	20.71	95
2 -1 3	24.55	100
2 0 2	25.53	19
1 1 6	33.67	68
3 0 0	36.28	43
1 2 8	48.24	36
2 2 6	50.32	26
4 1 0	56.79	26
3 1 8	57.54	18
1 4 6	63.60	21